For Mg8Ga3Hg3, the PBE geometry in Alexandria gives the calculated powder XRD pattern in this record (Cu Kα, 1.54184 Å).

Top 6 peaks for 10° ≤ 2θ ≤ 90°, by intensity:
index, 2θ (°), d (Å), I/Imax
0 1 0, 12.5, 7.104, 100
0 1 -2, 29.5, 3.024, 33
0 0 2, 26.3, 3.390, 27
2 2 1, 36.8, 2.444, 24
0 2 -2, 37.2, 2.416, 19
0 1 2, 28.8, 3.097, 19

Crystal structure
```
data_Mg8Ga3Hg3
_chemical_formula_sum 'Mg8 Ga3 Hg3'
_space_group_name_H-M_alt 'P -1'
_space_group_IT_number 2
_space_group_name_Hall '-P 1'
_cell_length_a 6.6347
_cell_length_b 7.1083
_cell_length_c 7.4210
_cell_angle_alpha 88.02
_cell_angle_beta 66.08
_cell_angle_gamma 89.08
loop_
_atom_site_label
_atom_site_type_symbol
_atom_site_fract_x
_atom_site_fract_y
_atom_site_fract_z
Mg1 Mg 0.0582 0.3388 0.3246
Mg2 Mg 0.1729 0.7632 0.2302
Mg3 Mg 0.3479 0.3478 0.6781
Mg4 Mg 0.3820 0.7709 0.7632
Ga1 Ga 0.3690 0.1350 0.0058
Ga2 Ga 0.5000 0.5000 0.0000
Hg1 Hg 0.0000 0.0000 0.0000
Hg2 Hg 0.2429 0.0092 0.5022
```

For NaMg2GaHg4, the PBE geometry in Alexandria gives the calculated powder XRD pattern in this record (Cu Kα, 1.54184 Å).

Top 6 peaks for 10° ≤ 2θ ≤ 90°, by intensity:
index, 2θ (°), d (Å), I/Imax
1 0 4, 25.0, 3.565, 100
0 1 8, 35.4, 2.537, 89
1 1 0, 35.9, 2.504, 86
1 2 8, 64.1, 1.452, 32
2 0 8, 51.3, 1.782, 31
0 2 4, 44.2, 2.049, 23

Crystal structure
```
data_NaMg2GaHg4
_chemical_formula_sum 'Na3 Mg6 Ga3 Hg12'
_space_group_name_H-M_alt 'R -3 m'
_space_group_IT_number 166
_space_group_name_Hall '-R 3 2"'
_cell_length_a 5.0089
_cell_length_b 5.0089
_cell_length_c 25.0239
_cell_angle_alpha 90.00
_cell_angle_beta 90.00
_cell_angle_gamma 120.00
loop_
_atom_site_label
_atom_site_type_symbol
_atom_site_fract_x
_atom_site_fract_y
_atom_site_fract_z
Na1 Na 0.0000 0.0000 0.0000
Mg1 Mg 0.0000 0.0000 0.2477
Ga1 Ga 0.0000 0.0000 0.5000
Hg1 Hg 0.0000 0.0000 0.1254
Hg2 Hg 0.0000 0.0000 0.3768
```

For Sr2MgGaHg6, the PBE geometry in Alexandria gives the calculated powder XRD pattern in this record (Cu Kα, 1.54184 Å).

Top 6 peaks for 10° ≤ 2θ ≤ 90°, by intensity:
index, 2θ (°), d (Å), I/Imax
2 0 1, 30.2, 2.961, 100
2 2 0, 34.4, 2.606, 79
0 2 1, 29.6, 3.020, 71
0 2 2, 36.3, 2.476, 67
0 0 2, 25.5, 3.498, 67
2 2 2, 37.0, 2.431, 61

Crystal structure
```
data_Sr2MgGaHg6
_chemical_formula_sum 'Sr2 Mg1 Ga1 Hg6'
_space_group_name_H-M_alt 'P -1'
_space_group_IT_number 2
_space_group_name_Hall '-P 1'
_cell_length_a 6.4178
_cell_length_b 6.8508
_cell_length_c 7.2901
_cell_angle_alpha 80.19
_cell_angle_beta 74.44
_cell_angle_gamma 70.18
loop_
_atom_site_label
_atom_site_type_symbol
_atom_site_fract_x
_atom_site_fract_y
_atom_site_fract_z
Sr1 Sr 0.1838 0.2573 0.2699
Mg1 Mg 0.5000 0.5000 0.5000
Ga1 Ga 0.0000 0.0000 0.0000
Hg1 Hg 0.1695 0.7621 0.3088
Hg2 Hg 0.3151 0.6192 0.8829
Hg3 Hg 0.3352 0.1701 0.7536
```